[1]
# PrSm2Pt9
Simulated X-ray diffraction stick pattern, a wavelength of 1.5418 Å. Input: a crystal structure in Alexandria, relaxed with GGA-PBE.

Most intense lines, 5 to 70 degrees two-theta, sorted by position:
index	d/Å	2θ/deg	I/Imax
1 0 1	4.661	19.04	21.4
1 1 0	2.731	32.80	29.3
0 2 1	2.358	38.17	24.9
1 1 6	2.329	38.66	100.0
0 0 12	2.224	40.56	23.6
2 0 5	2.163	41.77	58.6
0 3 6	1.487	62.45	22.5
2 2 0	1.367	68.68	24.0

Structure:
```
data_PrSm2Pt9
_chemical_formula_sum 'Pr3 Sm6 Pt27'
_symmetry_space_group_name_H-M 'R -3 m'
_symmetry_Int_Tables_number 166
_symmetry_space_group_name_Hall '-R 3 2"'
_cell_length_a 5.4662
_cell_length_b 5.4662
_cell_length_c 26.6926
_cell_angle_alpha 90.00
_cell_angle_beta 90.00
_cell_angle_gamma 120.00
loop_
_atom_site_label
_atom_site_type_symbol
_atom_site_fract_x
_atom_site_fract_y
_atom_site_fract_z
Pr1 Pr 0.0000 0.0000 0.0000
Sm1 Sm 0.0000 0.0000 0.1396
Pt1 Pt 0.0000 0.0000 0.3329
Pt2 Pt 0.0000 0.0000 0.5000
Pt3 Pt 0.0041 0.5020 0.9149
```



[2]
# Pm3Pt3Rh
Simulated X-ray diffraction stick pattern, a wavelength of 1.5418 Å. Input: a crystal structure in Alexandria, relaxed with GGA-PBE.

Most intense lines, 5 to 70 degrees two-theta, sorted by position:
index	d/Å	2θ/deg	I/Imax
1 1 0	4.320	20.56	65.9
0 0 2	2.871	31.15	76.7
2 1 0	2.828	31.64	50.4
3 0 0	2.494	36.01	100.0
1 1 2	2.391	37.62	28.9
2 1 2	2.015	44.99	38.5
3 0 2	1.883	48.34	87.4
1 3 2	1.682	54.56	17.1

Structure:
```
data_Pm3Pt3Rh
_chemical_formula_sum 'Pm6 Pt6 Rh2'
_symmetry_space_group_name_H-M 'P 63/m'
_symmetry_Int_Tables_number 176
_symmetry_space_group_name_Hall '-P 6c'
_cell_length_a 8.6394
_cell_length_b 8.6394
_cell_length_c 5.7427
_cell_angle_alpha 90.00
_cell_angle_beta 90.00
_cell_angle_gamma 120.00
loop_
_atom_site_label
_atom_site_type_symbol
_atom_site_fract_x
_atom_site_fract_y
_atom_site_fract_z
Pm1 Pm 0.0565 0.6817 0.2500
Pt1 Pt 0.0446 0.6969 0.7500
Rh1 Rh 0.3333 0.6667 0.7500
```



[3]
# Pr5PuAs6
Simulated X-ray diffraction stick pattern, a wavelength of 1.5418 Å. Input: a crystal structure in Alexandria, relaxed with GGA-PBE.

Most intense lines, 5 to 70 degrees two-theta, sorted by position:
index	d/Å	2θ/deg	I/Imax
2 0 0	3.494	25.50	22.0
1 3 1	3.025	29.52	100.0
2 0 2	2.139	42.24	75.4
4 0 -2	1.824	49.99	11.3
0 0 4	1.747	52.38	26.7
2 6 2	1.513	61.28	12.4
5 3 -1	1.388	67.47	4.8
3 3 3	1.353	69.47	34.1

Structure:
```
data_Pr5PuAs6
_chemical_formula_sum 'Pr10 Pu2 As12'
_symmetry_space_group_name_H-M 'C 1 2/m 1'
_symmetry_Int_Tables_number 12
_cell_length_a 7.4110
_cell_length_b 12.8351
_cell_length_c 7.4119
_cell_angle_alpha 90.00
_cell_angle_beta 109.49
_cell_angle_gamma 90.00
loop_
_symmetry_equiv_pos_as_xyz
'x,y,z'
'-x,-y,-z'
'-x,y,-z'
'x,-y,z'
'x+1/2,y+1/2,z'
'-x+1/2,-y+1/2,-z'
'-x+1/2,y+1/2,-z'
'x+1/2,-y+1/2,z'
loop_
_atom_site_label
_atom_site_type_symbol
_atom_site_fract_x
_atom_site_fract_y
_atom_site_fract_z
Pr1 Pr 0.0000 0.0000 0.0000
Pr2 Pr 0.0000 0.1662 0.5000
Pr3 Pr 0.0000 0.3318 0.0000
Pu1 Pu 0.0000 0.5000 0.5000
As1 As 0.2434 0.5000 0.2545
As2 As 0.2443 0.3374 0.7452
```



[4]
# BaPbAu4
Simulated X-ray diffraction stick pattern, a wavelength of 1.5418 Å. Input: a crystal structure in Alexandria, relaxed with GGA-PBE.

Most intense lines, 5 to 70 degrees two-theta, sorted by position:
index	d/Å	2θ/deg	I/Imax
0 0 1	4.048	21.96	45.9
2 1 1	2.923	30.58	100.0
1 4 1	2.872	31.14	51.3
2 3 1	2.668	33.59	62.3
3 4 0	2.452	36.65	43.4
0 8 0	2.309	39.01	53.9
0 0 2	2.024	44.77	45.4
2 7 1	1.969	46.09	28.8

Structure:
```
data_BaPbAu4
_chemical_formula_sum 'Ba4 Pb4 Au16'
_symmetry_space_group_name_H-M 'P b a m'
_symmetry_Int_Tables_number 55
_cell_length_a 8.6824
_cell_length_b 18.4640
_cell_length_c 4.0484
_cell_angle_alpha 90.00
_cell_angle_beta 90.00
_cell_angle_gamma 90.00
loop_
_symmetry_equiv_pos_as_xyz
'x,y,z'
'-x,-y,-z'
'-x,-y,z'
'x,y,-z'
'x+1/2,-y+1/2,-z'
'-x+1/2,y+1/2,z'
'-x+1/2,y+1/2,-z'
'x+1/2,-y+1/2,z'
loop_
_atom_site_label
_atom_site_type_symbol
_atom_site_fract_x
_atom_site_fract_y
_atom_site_fract_z
Ba1 Ba 0.1242 0.1614 0.0000
Pb1 Pb 0.1281 0.4150 0.0000
Au1 Au 0.0373 0.6893 0.5000
Au2 Au 0.1106 0.9508 0.5000
Au3 Au 0.1419 0.5473 0.5000
Au4 Au 0.2116 0.8089 0.5000
```



[5]
# PmDySe2O
Simulated X-ray diffraction stick pattern, a wavelength of 1.5418 Å. Input: a crystal structure in Alexandria, relaxed with GGA-PBE.

Most intense lines, 5 to 70 degrees two-theta, sorted by position:
index	d/Å	2θ/deg	I/Imax
0 0 4	3.651	24.38	26.9
1 0 2	3.530	25.23	44.3
1 0 3	3.105	28.75	29.7
1 1 0	2.851	31.37	100.0
1 0 5	2.365	38.04	33.9
1 1 4	2.247	40.13	37.9
0 0 7	2.084	43.41	20.8
2 0 0	2.016	44.96	42.4

Structure:
```
data_PmDySe2O
_chemical_formula_sum 'Pm2 Dy2 Se4 O2'
_symmetry_space_group_name_H-M 'P 4/n m m'
_symmetry_Int_Tables_number 129
_cell_length_a 4.0324
_cell_length_b 4.0324
_cell_length_c 14.6031
_cell_angle_alpha 90.00
_cell_angle_beta 90.00
_cell_angle_gamma 90.00
loop_
_symmetry_equiv_pos_as_xyz
'x,y,z'
'-x,-y,-z'
'-y+1/2,x,z'
'y+1/2,-x,-z'
'-x+1/2,-y+1/2,z'
'x+1/2,y+1/2,-z'
'y,-x+1/2,z'
'-y,x+1/2,-z'
'x+1/2,-y,-z'
'-x+1/2,y,z'
'-y,-x,-z'
'y,x,z'
'-x,y+1/2,-z'
'x,-y+1/2,z'
'y+1/2,x+1/2,-z'
'-y+1/2,-x+1/2,z'
loop_
_atom_site_label
_atom_site_type_symbol
_atom_site_fract_x
_atom_site_fract_y
_atom_site_fract_z
Pm1 Pm 0.2500 0.2500 0.0801
Dy1 Dy 0.2500 0.2500 0.6252
Se1 Se 0.2500 0.2500 0.4111
Se2 Se 0.2500 0.2500 0.8052
O1 O 0.2500 0.7500 0.0000
```



[6]
# AcYBiTe
Simulated X-ray diffraction stick pattern, a wavelength of 1.5418 Å. Input: a crystal structure in Alexandria, relaxed with GGA-PBE.

Most intense lines, 5 to 70 degrees two-theta, sorted by position:
index	d/Å	2θ/deg	I/Imax
0 1 2	3.710	23.99	80.4
0 1 5	3.041	29.37	100.0
1 0 7	2.594	34.58	72.2
1 1 0	2.249	40.09	60.6
2 0 5	1.808	50.47	22.7
0 2 7	1.699	53.96	20.6
1 1 12	1.506	61.57	30.3
1 2 5	1.409	66.33	20.2

Structure:
```
data_AcYBiTe
_chemical_formula_sum 'Ac3 Y3 Bi3 Te3'
_symmetry_space_group_name_H-M 'R 3 m'
_symmetry_Int_Tables_number 160
_symmetry_space_group_name_Hall 'R 3 -2"'
_cell_length_a 4.4982
_cell_length_b 4.4982
_cell_length_c 24.3359
_cell_angle_alpha 90.00
_cell_angle_beta 90.00
_cell_angle_gamma 120.00
loop_
_atom_site_label
_atom_site_type_symbol
_atom_site_fract_x
_atom_site_fract_y
_atom_site_fract_z
Ac1 Ac 0.0000 0.0000 0.0000
Y1 Y 0.0000 0.0000 0.1743
Bi1 Bi 0.0000 0.0000 0.5806
Te1 Te 0.0000 0.0000 0.4262
```



[7]
# Sr2Sn2Hg4Pb
Simulated X-ray diffraction stick pattern, a wavelength of 1.5418 Å. Input: a crystal structure in Alexandria, relaxed with GGA-PBE.

Most intense lines, 5 to 70 degrees two-theta, sorted by position:
index	d/Å	2θ/deg	I/Imax
0 0 2	5.127	17.30	44.6
2 0 2	2.995	29.83	100.0
2 2 0	2.609	34.37	71.4
0 0 4	2.563	35.00	32.5
3 0 1	2.392	37.60	26.3
2 1 3	2.374	37.90	42.5
3 0 3	1.997	45.43	32.6
2 2 4	1.828	49.87	37.7

Structure:
```
data_Sr2Sn2Hg4Pb
_chemical_formula_sum 'Sr4 Sn4 Hg8 Pb2'
_symmetry_space_group_name_H-M 'I 4/m m m'
_symmetry_Int_Tables_number 139
_symmetry_space_group_name_Hall '-I 4 2'
_cell_length_a 7.3795
_cell_length_b 7.3795
_cell_length_c 10.2534
_cell_angle_alpha 90.00
_cell_angle_beta 90.00
_cell_angle_gamma 90.00
loop_
_atom_site_label
_atom_site_type_symbol
_atom_site_fract_x
_atom_site_fract_y
_atom_site_fract_z
Sr1 Sr 0.0000 0.5000 0.2500
Sn1 Sn 0.0000 0.0000 0.1988
Hg1 Hg 0.2150 0.2150 0.0000
Pb1 Pb 0.0000 0.0000 0.5000
```



[8]
# ReTe2P12
Simulated X-ray diffraction stick pattern, a wavelength of 1.5418 Å. Input: a crystal structure in Alexandria, relaxed with GGA-PBE.

Most intense lines, 5 to 70 degrees two-theta, sorted by position:
index	d/Å	2θ/deg	I/Imax
0 0 1	10.395	8.51	85.2
0 1 0	5.852	15.14	83.0
1 1 -1	4.021	22.11	91.1
1 1 2	3.650	24.38	64.3
0 0 3	3.465	25.71	100.0
1 -1 1	3.128	28.53	51.4
0 1 -3	3.021	29.57	67.4
1 -1 2	2.852	31.37	65.9

Structure:
```
data_ReTe2P12
_chemical_formula_sum 'Re1 Te2 P12'
_symmetry_space_group_name_H-M 'P -1'
_symmetry_Int_Tables_number 2
_cell_length_a 5.1337
_cell_length_b 6.2752
_cell_length_c 10.5052
_cell_angle_alpha 88.57
_cell_angle_beta 81.84
_cell_angle_gamma 68.91
loop_
_symmetry_equiv_pos_as_xyz
'x,y,z'
'-x,-y,-z'
loop_
_atom_site_label
_atom_site_type_symbol
_atom_site_fract_x
_atom_site_fract_y
_atom_site_fract_z
Re1 Re 0.0000 0.0000 0.0000
Te1 Te 0.4291 0.8819 0.3108
P1 P 0.0171 0.4884 0.2365
P2 P 0.1299 0.0071 0.7734
P3 P 0.1334 0.3147 0.0394
P4 P 0.1467 0.2831 0.4060
P5 P 0.2636 0.6767 0.6590
P6 P 0.4438 0.6831 0.0302
```